Computed powder diffraction line list of KEuSnWO6 for a wavelength of 1.5418 Å, from DFT lattice parameters and positions (PBE+U).
Lines closer than 0.1° are merged.

Main lines, most intense first (2θ from 15° to 90°):
d 2.999, 2θ 29.8, I 100
d 1.731, 2θ 52.9, I 41
d 2.121, 2θ 42.6, I 30
d 4.241, 2θ 20.9, I 24
d 1.134, 2θ 85.7, I 22
d 1.500, 2θ 61.9, I 19

Cell and atoms:
Cell lengths 5.9980, 5.9980, 5.9980 Å; angles 60.00, 60.00, 60.00 degrees
Atoms (fractional coordinates):
K  0.0000  0.0000  0.0000
Eu  0.7500  0.7500  0.7500
Sn  0.5000  0.5000  0.5000
W  0.2500  0.2500  0.2500
O  0.0202  0.0202  0.4798
O  0.0202  0.4798  0.0202
O  0.0202  0.4798  0.4798
O  0.4798  0.0202  0.0202
O  0.4798  0.0202  0.4798
O  0.4798  0.4798  0.0202